K2CuW3O12: calculated powder diffraction line list (Cu Kα X-rays), based on a cell relaxed with PBE+U.

Structural model:
a b c (Å): 7.1873 7.1873 7.1873
angles (deg): 61.59 61.59 61.59
Fractional positions:
K: 0.1392 0.1392 0.1392
K: 0.8608 0.8608 0.8608
Cu: 0.5000 0.5000 0.5000
W: 0.0000 0.5000 0.5000
W: 0.5000 0.0000 0.5000
W: 0.5000 0.5000 0.0000
O: 0.1842 0.1842 0.5579
O: 0.1842 0.5579 0.1842
O: 0.1865 0.5639 0.5639
O: 0.4361 0.4361 0.8135
O: 0.4361 0.8135 0.4361
O: 0.4421 0.8158 0.8158
O: 0.5579 0.1842 0.1842
O: 0.5639 0.1865 0.5639
O: 0.5639 0.5639 0.1865
O: 0.8135 0.4361 0.4361
O: 0.8158 0.4421 0.8158
O: 0.8158 0.8158 0.4421

Largest 8 diffraction maxima, low angle first, 2θ = 10–80°:
Position (°2θ)  I/Imax
14.80  951
15.28  929
28.47  891
28.74  667
29.86  1000
30.85  354
49.54  384
50.85  348